Structure and theoretical powder diffractogram of MoAsO5 (a DFT-relaxed cell (GGA+U, the Materials Project); copper Kα).
Neutral-atom scattering factors, no anomalous dispersion.

Peak list (10 most intense, 15° ≤ 2θ ≤ 90°, low angle first)
16.13 deg, I 100, (0 1 1)
17.51 deg, I 67, (1 0 1)
23.12 deg, I 40, (0 2 0)
25.79 deg, I 32, (0 2 1)
26.79 deg, I 43, (1 2 0)
28.88 deg, I 36, (1 1 2)
31.51 deg, I 88, (2 1 1)
32.60 deg, I 36, (0 2 2)
35.40 deg, I 27, (2 0 2)
37.38 deg, I 35, (2 1 2)

Unit cell a=6.632 b=7.695 c=7.845 alpha=90.00 beta=90.00 gamma=90.00
Element x y z (fractional)
Mo 0.202 0.233 0.474
Mo 0.298 0.767 0.974
Mo 0.702 0.267 0.526
Mo 0.798 0.733 0.026
As 0.005 0.627 0.662
As 0.495 0.373 0.162
As 0.505 0.873 0.338
As 0.995 0.127 0.838
O 0.017 0.124 0.367
O 0.025 0.905 0.925
O 0.043 0.775 0.516
O 0.203 0.589 0.808
O 0.211 0.134 0.709
O 0.289 0.866 0.209
O 0.297 0.411 0.308
O 0.457 0.225 0.016
O 0.475 0.095 0.425
O 0.483 0.876 0.867
O 0.517 0.376 0.633
O 0.525 0.595 0.075
O 0.543 0.725 0.484
O 0.703 0.911 0.192
O 0.711 0.366 0.291
O 0.789 0.634 0.791
O 0.797 0.089 0.692
O 0.957 0.275 0.984
O 0.975 0.405 0.575
O 0.983 0.624 0.133